The following is a theoretical powder diffractogram of Dy10Si17. It was derived from the PBE geometry in Alexandria, using Cu Kα (λ = 1.5418 Å).
No peak broadening, texture or thermal motion is included.

Main lines, by angle (10 to 90 degrees two-theta):
2theta  d (Å)  Rel. int.
21.44  4.145  29.0
26.68  3.341  27.0
26.79  3.328  53.9
34.48  2.601  51.2
34.56  2.595  100.0
43.67  2.073  16.8
47.17  1.927  24.7
51.98  1.759  17.9
59.90  1.544  18.8
66.23  1.411  17.8

Structure:
```
27
Lattice="-4.1451 9.5945 3.3414 4.1451 -9.5945 3.3414 4.1451 9.5945 -3.3414" Properties=species:S:1:pos:R:3 pbc="T T T"
Dy 2.0266 0.0000 0.0000
Dy 6.2635 0.0000 0.0000
Dy 2.0872 3.8328 0.0152
Dy 6.2030 3.8328 0.0152
Dy 2.0536 7.6683 0.0467
Dy 2.0915 -1.9262 3.3881
Dy 2.0536 11.5207 0.0467
Dy 2.0915 1.9262 3.3881
Dy -2.0579 5.7617 3.3566
Dy 2.0579 5.7617 3.3566
Si 4.1451 7.2722 -1.9737
Si 4.1451 -1.5756 1.3080
Si 4.1451 -3.8289 2.2437
Si 4.1451 1.5756 1.3080
Si 0.0000 0.0000 2.1389
Si 0.0000 2.3224 1.3678
Si 4.1451 5.7721 0.7739
Si 0.0000 5.4634 1.3086
Si 4.1451 3.8289 2.2437
Si 0.0000 9.5945 0.8517
Si 0.0000 0.0000 4.4814
Si 0.0000 7.6699 2.2762
Si 4.1451 7.5893 2.3289
Si 0.0000 3.8224 4.1153
Si 0.0000 13.7257 1.3086
Si 0.0000 11.5192 2.2762
Si 0.0000 2.0052 5.6703
```

=====

The following is a theoretical powder diffractogram of La8Ir2Os. It was derived from the PBE geometry in Alexandria, using Cu Kα (λ = 1.5418 Å).
No peak broadening, texture or thermal motion is included.

Main lines, by angle (10 to 90 degrees two-theta):
2theta  d (Å)  Rel. int.
16.83  5.268  33.7
19.80  4.483  48.0
30.29  2.951  100.0
31.42  2.847  39.4
34.04  2.634  25.0
34.65  2.589  22.3
37.06  2.426  23.4
40.21  2.243  25.0
44.67  2.029  40.7
47.17  1.927  30.9

Structure:
```
11
Lattice="6.3218 -4.4851 0.0000 6.3218 4.4851 0.0000 -1.9751 0.0000 6.5526" Properties=species:S:1:pos:R:3 pbc="T T T"
La 0.4773 0.0000 1.7545
La 3.9528 1.8690 1.6362
La 3.1030 0.0000 4.9742
La 6.7156 1.8690 4.9165
La 3.9528 -1.8690 1.6362
La 7.5654 0.0000 1.5784
La 6.7156 -1.8690 4.9165
La 10.1911 0.0000 4.7981
Ir 0.4642 0.0000 6.3100
Ir 10.2042 0.0000 0.2426
Os 5.3342 0.0000 3.2763
```

=====

The following is a theoretical powder diffractogram of ErSc2In. It was derived from the PBE geometry in Alexandria, using Cu Kα (λ = 1.5418 Å).
No peak broadening, texture or thermal motion is included.

Main lines, by angle (10 to 90 degrees two-theta):
2theta  d (Å)  Rel. int.
21.90  4.058  45.6
30.17  2.962  20.9
32.01  2.796  47.2
34.45  2.604  100.0
34.88  2.572  18.1
35.86  2.504  24.8
36.65  2.452  22.6
43.93  2.061  19.8
61.27  1.513  22.8
66.95  1.398  18.7

Structure:
```
8
Lattice="1.6260 -7.7172 0.0000 1.6260 7.7172 0.0000 0.0000 0.0000 8.1158" Properties=species:S:1:pos:R:3 pbc="T T T"
Er 1.6260 4.0500 6.0868
Er 1.6260 -4.0500 2.0289
Sc 1.6260 6.1809 0.5107
Sc 1.6260 6.1809 3.5472
Sc 1.6260 -6.1809 4.5686
Sc 1.6260 -6.1809 7.6051
In 1.6260 0.7340 2.0289
In 1.6260 -0.7340 6.0868
```

=====

The following is a theoretical powder diffractogram of NpNi12P6. It was derived from the PBE geometry in Alexandria, using Cu Kα (λ = 1.5418 Å).
No peak broadening, texture or thermal motion is included.

Main lines, by angle (10 to 90 degrees two-theta):
2theta  d (Å)  Rel. int.
29.15  3.063  36.2
30.01  2.978  26.6
30.66  2.916  23.8
37.66  2.388  58.0
38.73  2.325  100.0
43.43  2.084  28.8
49.32  1.848  15.6
49.44  1.844  14.9
54.50  1.684  20.5
57.33  1.607  25.0

Structure:
```
19
Lattice="5.0508 2.9161 2.7107 -5.0508 2.9161 2.7107 0.0000 -5.8321 2.7107" Properties=species:S:1:pos:R:3 pbc="T T T"
Np 0.0000 0.0000 0.0000
Ni -1.8845 -3.2641 4.0660
Ni -3.7691 0.0000 4.0660
Ni -1.3834 -0.7987 2.9497
Ni 1.3834 -0.7987 2.9497
Ni 0.0000 1.5974 2.9497
Ni 1.8846 -3.2641 4.0660
Ni -1.8846 3.2641 4.0660
Ni 0.0000 -1.5974 5.1823
Ni -1.3834 0.7987 5.1823
Ni 1.3834 0.7987 5.1823
Ni 3.7691 0.0000 4.0660
Ni 1.8846 3.2641 4.0660
P 0.0000 -2.5855 3.1229
P -2.2391 1.2927 3.1229
P -2.2391 -1.2927 5.0092
P 2.2391 1.2927 3.1229
P 2.2391 -1.2927 5.0091
P 0.0000 2.5855 5.0091
```

=====

The following is a theoretical powder diffractogram of Cs5Rb3Na4. It was derived from the PBE geometry in Alexandria, using Cu Kα (λ = 1.5418 Å).
No peak broadening, texture or thermal motion is included.

Main lines, by angle (10 to 90 degrees two-theta):
2theta  d (Å)  Rel. int.
19.22  4.618  100.0
21.21  4.189  86.5
21.26  4.178  88.6
21.61  4.113  54.6
22.37  3.974  36.8
22.67  3.923  33.4
23.80  3.739  62.3
24.43  3.643  39.5
26.04  3.423  47.3
26.44  3.371  35.3

Structure:
```
12
Lattice="8.9067 0.0000 0.0000 -2.8619 8.5944 0.0000 -2.1966 -1.4013 12.7167" Properties=species:S:1:pos:R:3 pbc="T T T"
Cs 0.0000 0.0000 0.0000
Cs -0.9443 2.3087 4.8064
Cs 1.0298 1.1027 9.1917
Cs 2.8184 6.0904 3.5251
Cs 4.7925 4.8843 7.9104
Rb -1.4310 4.2972 0.0000
Rb -0.0423 5.3486 11.1359
Rb 3.8905 1.8445 1.5808
Na -1.5582 6.9535 4.0903
Na 0.3452 6.1370 7.1213
Na 3.5029 1.0561 5.5954
Na 5.4064 0.2395 8.6264
```

=====

The following is a theoretical powder diffractogram of Ce5Ge2Ir2. It was derived from the PBE geometry in Alexandria, using Cu Kα (λ = 1.5418 Å).
No peak broadening, texture or thermal motion is included.

Main lines, by angle (10 to 90 degrees two-theta):
2theta  d (Å)  Rel. int.
20.07  4.425  48.5
26.98  3.305  74.1
30.10  2.969  81.6
31.68  2.824  47.4
35.71  2.514  92.9
37.53  2.396  86.3
38.46  2.341  92.3
39.26  2.295  100.0
41.56  2.173  54.0
43.99  2.059  46.9

Structure:
```
18
Lattice="-8.0634 3.7966 3.6909 8.0634 -3.7966 3.6909 8.0634 3.7966 -3.6909" Properties=species:S:1:pos:R:3 pbc="T T T"
Ce 2.5991 -1.2056 2.3061
Ce 5.4643 -1.2056 2.3061
Ce 0.8047 1.3040 0.0000
Ce 7.2588 1.3040 0.0000
Ce 5.4643 5.0022 -1.3848
Ce 10.6626 1.2056 2.3061
Ce 4.0317 2.6184 1.5186
Ce 0.8047 2.4926 3.6909
Ce 7.2588 2.4926 3.6909
Ce 4.0317 1.1782 5.2095
Ge -1.2624 3.5067 1.1723
Ge 1.2624 -0.2899 4.8633
Ge 1.2624 4.0865 1.1723
Ge 6.8010 4.0865 1.1723
Ir 12.0952 -0.0667 0.1376
Ir 4.0317 0.0667 0.1376
Ir 0.0000 0.0000 2.4359
Ir 8.0634 0.0000 2.4359
```

=====

The following is a theoretical powder diffractogram of La12PmDy5. It was derived from the PBE geometry in Alexandria, using Cu Kα (λ = 1.5418 Å).
No peak broadening, texture or thermal motion is included.

Main lines, by angle (10 to 90 degrees two-theta):
2theta  d (Å)  Rel. int.
29.71  3.007  100.0
29.85  2.993  98.4
34.29  2.615  34.2
34.63  2.590  66.3
49.53  1.840  48.2
58.60  1.575  14.6
58.68  1.573  14.5
58.94  1.567  14.3
59.22  1.560  27.9
80.47  1.194  14.5

Structure:
```
18
Lattice="9.5584 -5.4754 0.0000 9.5584 5.4754 0.0000 -2.0937 0.0000 6.0342" Properties=species:S:1:pos:R:3 pbc="T T T"
La 6.0234 3.6071 1.0024
La 4.9745 1.8723 4.0168
La 9.5584 3.6227 0.0000
La 8.5116 1.8796 3.0171
La 10.9997 3.6071 5.0317
La 12.0487 1.8723 2.0173
La 4.9745 -1.8723 4.0168
La 6.0234 -3.6071 1.0024
La 8.5116 -1.8796 3.0171
La 9.5584 -3.6227 0.0000
La 12.0487 -1.8723 2.0173
La 10.9997 -3.6071 5.0317
Pm 9.5584 0.0000 0.0000
Dy -1.0468 0.0000 3.0171
Dy 2.4878 0.0000 2.0167
Dy 6.0116 0.0000 1.0101
Dy 11.0115 0.0000 5.0241
Dy 14.5353 0.0000 4.0175
```

=====

The following is a theoretical powder diffractogram of Cs4K3Rb4. It was derived from the PBE geometry in Alexandria, using Cu Kα (λ = 1.5418 Å).
No peak broadening, texture or thermal motion is included.

Main lines, by angle (10 to 90 degrees two-theta):
2theta  d (Å)  Rel. int.
12.71  6.963  21.9
14.91  5.940  13.3
21.87  4.065  100.0
23.04  3.861  20.9
23.70  3.755  22.6
28.80  3.100  10.9
33.29  2.692  16.0
39.78  2.266  18.4
40.59  2.223  19.6
44.58  2.032  10.8

Structure:
```
11
Lattice="15.4421 0.0000 0.0000 0.0000 3.7546 9.2995 0.0000 -3.7546 9.2995" Properties=species:S:1:pos:R:3 pbc="T T T"
Cs 0.0000 0.0000 0.0000
Cs 3.5319 0.0000 15.1721
Cs 7.7210 0.0000 17.7246
Cs 11.9102 0.0000 15.1721
K 0.0000 0.0000 5.8740
K 3.8795 0.0000 9.0964
K 11.5626 0.0000 9.0964
Rb 0.0000 0.0000 12.0062
Rb 4.2481 0.0000 2.8517
Rb 7.7210 0.0000 12.1486
Rb 11.1940 0.0000 2.8517
```

=====

The following is a theoretical powder diffractogram of La3CdHg. It was derived from the PBE geometry in Alexandria, using Cu Kα (λ = 1.5418 Å).
No peak broadening, texture or thermal motion is included.

Main lines, by angle (10 to 90 degrees two-theta):
2theta  d (Å)  Rel. int.
29.88  2.991  45.1
30.61  2.921  49.2
31.38  2.851  54.6
31.73  2.820  100.0
36.32  2.473  56.2
36.60  2.455  24.1
47.95  1.897  18.2
48.45  1.879  24.0
55.86  1.646  17.3
62.69  1.482  21.1

Structure:
```
10
Lattice="0.0000 4.8286 8.6402 3.7948 0.0000 8.6402 3.7948 4.8286 0.0000" Properties=species:S:1:pos:R:3 pbc="T T T"
La 3.7948 4.8286 3.2935
La 3.7948 3.0185 7.0074
La 3.7948 3.0185 10.2731
La 3.7948 6.6387 7.0074
La 3.7948 6.6387 10.2731
La 3.7948 4.8286 13.9870
Cd 6.1691 4.8286 8.6402
Cd 1.4205 4.8286 8.6402
Hg 1.8974 2.4143 4.3201
Hg 5.6922 7.2429 12.9604
```

=====

The following is a theoretical powder diffractogram of Rb4Pm3NdSe8. It was derived from the PBE geometry in Alexandria, using Cu Kα (λ = 1.5418 Å).
No peak broadening, texture or thermal motion is included.

Main lines, by angle (10 to 90 degrees two-theta):
2theta  d (Å)  Rel. int.
11.03  8.022  23.2
27.91  3.196  100.0
35.32  2.541  10.3
38.26  2.352  34.4
41.45  2.178  36.5
50.72  1.800  18.8
57.68  1.598  10.3
63.00  1.475  10.9
67.50  1.388  15.8
73.49  1.289  10.0

Structure:
```
16
Lattice="4.3565 2.5152 8.0225 -4.3565 2.5152 8.0225 0.0000 -5.0304 8.0225" Properties=species:S:1:pos:R:3 pbc="T T T"
Rb 0.0000 0.0000 0.0000
Rb -2.1782 -1.2576 8.0225
Rb -2.1782 1.2576 16.0449
Rb 0.0000 2.5152 8.0224
Pm -4.3565 0.0000 12.0337
Pm -2.1782 1.2576 4.0112
Pm 2.1782 1.2576 4.0112
Nd 0.0000 0.0000 12.0337
Se -2.1889 -1.2637 13.6401
Se 0.0000 0.0000 5.6120
Se 0.0000 -2.5275 10.4273
Se -2.1889 1.2637 10.4273
Se 2.1889 -1.2637 13.6401
Se 0.0000 2.5275 13.6401
Se 0.0000 0.0000 18.4554
Se 2.1889 1.2637 10.4273
```